Record 1
Pm5Pr4Sc2: calculated powder X-ray diffraction pattern (a wavelength of 1.5418 Å), based on a crystal structure in Alexandria, relaxed with GGA-PBE.
Neutral-atom scattering factors, no anomalous dispersion.

Principal peaks in the range 2θ from 10° to 90°, sorted by position:
2θ/deg	I (rel.)
27.5	75
30.8	100
31.1	77
31.6	73
33.5	98
33.9	95
51.3	47
51.5	24
61.0	53
61.2	28

Structure:
```
data_Pm5Pr4Sc2
_cell_length_a 12.142
_cell_length_b 12.142
_cell_length_c 8.732
_cell_angle_alpha 94.42
_cell_angle_beta 94.42
_cell_angle_gamma 16.81
_space_group_name_H-M_alt 'P 1'
_space_group_IT_number 1
_space_group_name_Hall 'P 1'
loop_
_atom_site_label
_atom_site_type_symbol
_atom_site_fract_x
_atom_site_fract_y
_atom_site_fract_z
Pm1 Pm 0.000 0.000 0.000
Pm2 Pm 0.319 0.319 0.523
Pm3 Pm 0.371 0.371 0.962
Pm4 Pm 0.629 0.629 0.038
Pm5 Pm 0.681 0.681 0.477
Pr1 Pr 0.226 0.226 0.823
Pr2 Pr 0.461 0.461 0.651
Pr3 Pr 0.539 0.539 0.349
Pr4 Pr 0.774 0.774 0.177
Sc1 Sc 0.087 0.087 0.698
Sc2 Sc 0.913 0.913 0.302
```

Record 2
Pm2PrSmSc: calculated powder X-ray diffraction pattern (a wavelength of 1.5418 Å), based on a crystal structure in Alexandria, relaxed with GGA-PBE.
Neutral-atom scattering factors, no anomalous dispersion.

Principal peaks in the range 2θ from 10° to 90°, sorted by position:
2θ/deg	I (rel.)
22.2	20
25.5	15
29.6	100
34.1	26
35.5	15
39.1	34
45.4	12
52.8	15
64.9	13
65.0	21

Structure:
```
data_Pm2PrSmSc
_cell_length_a 8.645
_cell_length_b 8.645
_cell_length_c 6.517
_cell_angle_alpha 90.00
_cell_angle_beta 90.00
_cell_angle_gamma 135.69
_space_group_name_H-M_alt 'P 1'
_space_group_IT_number 1
_space_group_name_Hall 'P 1'
loop_
_atom_site_label
_atom_site_type_symbol
_atom_site_fract_x
_atom_site_fract_y
_atom_site_fract_z
Pm1 Pm 0.248 0.248 0.000
Pm2 Pm 0.248 0.248 0.500
Pm3 Pm 0.752 0.752 0.000
Pm4 Pm 0.752 0.752 0.500
Pr1 Pr 0.336 0.664 0.750
Pr2 Pr 0.664 0.336 0.250
Sm1 Sm 0.248 0.752 0.250
Sm2 Sm 0.752 0.248 0.750
Sc1 Sc 0.152 0.848 0.750
Sc2 Sc 0.848 0.152 0.250
```

Record 3
Pm5Pr2SmSc: calculated powder X-ray diffraction pattern (a wavelength of 1.5418 Å), based on a crystal structure in Alexandria, relaxed with GGA-PBE.
Neutral-atom scattering factors, no anomalous dispersion.

Principal peaks in the range 2θ from 10° to 90°, sorted by position:
2θ/deg	I (rel.)
26.8	37
31.2	12
31.4	100
32.4	16
32.8	37
35.1	16
46.8	11
48.8	13
57.7	18
59.8	23

Structure:
```
data_Pm5Pr2SmSc
_cell_length_a 11.393
_cell_length_b 11.393
_cell_length_c 10.232
_cell_angle_alpha 90.00
_cell_angle_beta 90.00
_cell_angle_gamma 152.31
_space_group_name_H-M_alt 'P 1'
_space_group_IT_number 1
_space_group_name_Hall 'P 1'
loop_
_atom_site_label
_atom_site_type_symbol
_atom_site_fract_x
_atom_site_fract_y
_atom_site_fract_z
Pm1 Pm 0.000 0.000 0.000
Pm2 Pm 0.000 0.000 0.500
Pm3 Pm 0.127 0.873 0.750
Pm4 Pm 0.223 0.777 0.062
Pm5 Pm 0.223 0.777 0.438
Pm6 Pm 0.499 0.501 0.250
Pm7 Pm 0.501 0.499 0.750
Pm8 Pm 0.777 0.223 0.562
Pm9 Pm 0.777 0.223 0.938
Pm10 Pm 0.873 0.127 0.250
Pr1 Pr 0.383 0.617 0.005
Pr2 Pr 0.383 0.617 0.495
Pr3 Pr 0.617 0.383 0.505
Pr4 Pr 0.617 0.383 0.995
Sm1 Sm 0.102 0.898 0.250
Sm2 Sm 0.898 0.102 0.750
Sc1 Sc 0.286 0.714 0.750
Sc2 Sc 0.714 0.286 0.250
```

Record 4
TbPm2Pr4Sc: calculated powder X-ray diffraction pattern (a wavelength of 1.5418 Å), based on a crystal structure in Alexandria, relaxed with GGA-PBE.
Neutral-atom scattering factors, no anomalous dispersion.

Principal peaks in the range 2θ from 10° to 90°, sorted by position:
2θ/deg	I (rel.)
30.2	100
34.8	17
34.9	17
35.4	16
50.1	12
50.5	12
59.5	14
59.8	14
60.4	14
62.9	12

Structure:
```
data_TbPm2Pr4Sc
_cell_length_a 5.136
_cell_length_b 5.163
_cell_length_c 10.138
_cell_angle_alpha 90.00
_cell_angle_beta 90.00
_cell_angle_gamma 90.00
_space_group_name_H-M_alt 'P 1'
_space_group_IT_number 1
_space_group_name_Hall 'P 1'
loop_
_atom_site_label
_atom_site_type_symbol
_atom_site_fract_x
_atom_site_fract_y
_atom_site_fract_z
Tb1 Tb 0.000 0.000 0.000
Pm1 Pm 0.000 0.000 0.500
Pm2 Pm 0.500 0.500 0.000
Pr1 Pr 0.000 0.500 0.255
Pr2 Pr 0.000 0.500 0.745
Pr3 Pr 0.500 0.000 0.254
Pr4 Pr 0.500 0.000 0.746
Sc1 Sc 0.500 0.500 0.500
```

Record 5
Pm2Pr4TmSc: calculated powder X-ray diffraction pattern (a wavelength of 1.5418 Å), based on a crystal structure in Alexandria, relaxed with GGA-PBE.
Neutral-atom scattering factors, no anomalous dispersion.

Principal peaks in the range 2θ from 10° to 90°, sorted by position:
2θ/deg	I (rel.)
30.3	100
34.8	17
35.0	17
35.6	16
50.2	12
50.7	12
59.6	15
59.9	14
60.7	14
63.0	12

Structure:
```
data_Pm2Pr4TmSc
_cell_length_a 5.129
_cell_length_b 5.159
_cell_length_c 10.076
_cell_angle_alpha 90.00
_cell_angle_beta 90.05
_cell_angle_gamma 90.00
_space_group_name_H-M_alt 'P 1'
_space_group_IT_number 1
_space_group_name_Hall 'P 1'
loop_
_atom_site_label
_atom_site_type_symbol
_atom_site_fract_x
_atom_site_fract_y
_atom_site_fract_z
Pm1 Pm 0.000 0.000 0.000
Pm2 Pm 0.500 0.500 0.500
Pr1 Pr 0.000 0.500 0.246
Pr2 Pr 0.000 0.500 0.754
Pr3 Pr 0.500 0.000 0.247
Pr4 Pr 0.500 0.000 0.753
Tm1 Tm 0.000 0.000 0.500
Sc1 Sc 0.500 0.500 0.000
```

Record 6
Pm4Pr2YSc: calculated powder X-ray diffraction pattern (a wavelength of 1.5418 Å), based on a crystal structure in Alexandria, relaxed with GGA-PBE.
Neutral-atom scattering factors, no anomalous dispersion.

Principal peaks in the range 2θ from 10° to 90°, sorted by position:
2θ/deg	I (rel.)
19.4	6
30.3	100
35.1	17
35.2	33
50.6	24
50.7	12
60.0	14
60.2	28
63.1	12
82.3	11

Structure:
```
data_Pm4Pr2YSc
_cell_length_a 5.100
_cell_length_b 5.117
_cell_length_c 10.183
_cell_angle_alpha 90.00
_cell_angle_beta 90.00
_cell_angle_gamma 90.00
_space_group_name_H-M_alt 'P 1'
_space_group_IT_number 1
_space_group_name_Hall 'P 1'
loop_
_atom_site_label
_atom_site_type_symbol
_atom_site_fract_x
_atom_site_fract_y
_atom_site_fract_z
Pm1 Pm 0.000 0.000 0.244
Pm2 Pm 0.000 0.000 0.756
Pm3 Pm 0.500 0.500 0.245
Pm4 Pm 0.500 0.500 0.755
Pr1 Pr 0.000 0.500 0.000
Pr2 Pr 0.500 0.000 0.500
Y1 Y 0.000 0.500 0.500
Sc1 Sc 0.500 0.000 0.000
```

Record 7
PmPr2Y2Sc: calculated powder X-ray diffraction pattern (a wavelength of 1.5418 Å), based on a crystal structure in Alexandria, relaxed with GGA-PBE.
Neutral-atom scattering factors, no anomalous dispersion.

Principal peaks in the range 2θ from 10° to 90°, sorted by position:
2θ/deg	I (rel.)
22.1	18
31.2	97
31.7	100
45.1	35
51.6	8
56.1	24
56.2	12
56.4	13
61.9	29
80.0	9

Structure:
```
data_PmPr2Y2Sc
_cell_length_a 7.080
_cell_length_b 5.657
_cell_length_c 9.762
_cell_angle_alpha 90.00
_cell_angle_beta 90.00
_cell_angle_gamma 90.00
_space_group_name_H-M_alt 'P 1'
_space_group_IT_number 1
_space_group_name_Hall 'P 1'
loop_
_atom_site_label
_atom_site_type_symbol
_atom_site_fract_x
_atom_site_fract_y
_atom_site_fract_z
Pm1 Pm 0.000 0.000 0.000
Pm2 Pm 0.500 0.000 0.000
Pr1 Pr 0.250 0.000 0.328
Pr2 Pr 0.250 0.500 0.837
Pr3 Pr 0.750 0.000 0.672
Pr4 Pr 0.750 0.500 0.163
Y1 Y 0.000 0.500 0.500
Y2 Y 0.250 0.000 0.663
Y3 Y 0.500 0.500 0.500
Y4 Y 0.750 0.000 0.337
Sc1 Sc 0.250 0.500 0.171
Sc2 Sc 0.750 0.500 0.829
```

Record 8
PmPr5Y2Sc: calculated powder X-ray diffraction pattern (a wavelength of 1.5418 Å), based on a crystal structure in Alexandria, relaxed with GGA-PBE.
Neutral-atom scattering factors, no anomalous dispersion.

Principal peaks in the range 2θ from 10° to 90°, sorted by position:
2θ/deg	I (rel.)
26.7	33
31.0	13
31.3	100
32.4	13
32.9	33
33.1	11
34.7	15
48.6	13
57.8	17
59.6	20

Structure:
```
data_PmPr5Y2Sc
_cell_length_a 11.390
_cell_length_b 11.390
_cell_length_c 10.348
_cell_angle_alpha 90.00
_cell_angle_beta 90.00
_cell_angle_gamma 152.38
_space_group_name_H-M_alt 'P 1'
_space_group_IT_number 1
_space_group_name_Hall 'P 1'
loop_
_atom_site_label
_atom_site_type_symbol
_atom_site_fract_x
_atom_site_fract_y
_atom_site_fract_z
Pm1 Pm 0.101 0.899 0.750
Pm2 Pm 0.899 0.101 0.250
Pr1 Pr 0.000 0.000 0.000
Pr2 Pr 0.000 0.000 0.500
Pr3 Pr 0.126 0.874 0.250
Pr4 Pr 0.222 0.778 0.563
Pr5 Pr 0.222 0.778 0.937
Pr6 Pr 0.498 0.502 0.750
Pr7 Pr 0.502 0.498 0.250
Pr8 Pr 0.778 0.222 0.063
Pr9 Pr 0.778 0.222 0.437
Pr10 Pr 0.874 0.126 0.750
Y1 Y 0.384 0.616 0.002
Y2 Y 0.384 0.616 0.498
Y3 Y 0.616 0.384 0.502
Y4 Y 0.616 0.384 0.998
Sc1 Sc 0.285 0.715 0.250
Sc2 Sc 0.715 0.285 0.750
```

Record 9
PmPr2Se4: calculated powder X-ray diffraction pattern (a wavelength of 1.5418 Å), based on a crystal structure in Alexandria, relaxed with GGA-PBE.
Neutral-atom scattering factors, no anomalous dispersion.

Principal peaks in the range 2θ from 10° to 90°, sorted by position:
2θ/deg	I (rel.)
12.9	25
29.7	100
30.2	48
42.4	19
42.7	19
42.9	73
53.0	19
53.2	19
70.2	25
71.1	16

Structure:
```
data_PmPr2Se4
_cell_length_a 8.429
_cell_length_b 8.429
_cell_length_c 8.429
_cell_angle_alpha 119.64
_cell_angle_beta 119.25
_cell_angle_gamma 90.97
_space_group_name_H-M_alt 'P 1'
_space_group_IT_number 1
_space_group_name_Hall 'P 1'
loop_
_atom_site_label
_atom_site_type_symbol
_atom_site_fract_x
_atom_site_fract_y
_atom_site_fract_z
Pm1 Pm 0.500 0.000 0.000
Pm2 Pm 0.500 0.500 0.500
Pr1 Pr 0.000 0.000 0.000
Pr2 Pr 0.000 0.000 0.500
Pr3 Pr 0.000 0.500 0.000
Pr4 Pr 0.500 0.000 0.500
Se1 Se 0.248 0.745 0.503
Se2 Se 0.252 0.248 0.497
Se3 Se 0.252 0.755 0.003
Se4 Se 0.259 0.255 0.003
Se5 Se 0.741 0.745 0.997
Se6 Se 0.748 0.245 0.997
Se7 Se 0.748 0.752 0.503
Se8 Se 0.752 0.255 0.497
```

Record 10
PmPr3Se4: calculated powder X-ray diffraction pattern (a wavelength of 1.5418 Å), based on a crystal structure in Alexandria, relaxed with GGA-PBE.
Neutral-atom scattering factors, no anomalous dispersion.

Principal peaks in the range 2θ from 10° to 90°, sorted by position:
2θ/deg	I (rel.)
29.7	51
29.8	100
42.3	19
42.5	75
43.0	18
52.5	20
53.1	20
69.9	17
70.1	17
77.5	16

Structure:
```
data_PmPr3Se4
_cell_length_a 7.394
_cell_length_b 8.415
_cell_length_c 7.384
_cell_angle_alpha 90.00
_cell_angle_beta 109.25
_cell_angle_gamma 90.00
_space_group_name_H-M_alt 'P 1'
_space_group_IT_number 1
_space_group_name_Hall 'P 1'
loop_
_atom_site_label
_atom_site_type_symbol
_atom_site_fract_x
_atom_site_fract_y
_atom_site_fract_z
Pm1 Pm 0.000 0.125 0.250
Pm2 Pm 0.000 0.875 0.750
Pr1 Pr 0.000 0.375 0.750
Pr2 Pr 0.000 0.625 0.250
Pr3 Pr 0.500 0.125 0.750
Pr4 Pr 0.500 0.376 0.250
Pr5 Pr 0.500 0.624 0.750
Pr6 Pr 0.500 0.875 0.250
Se1 Se 0.246 0.123 0.000
Se2 Se 0.246 0.877 0.500
Se3 Se 0.248 0.373 0.498
Se4 Se 0.248 0.627 0.998
Se5 Se 0.752 0.373 0.002
Se6 Se 0.752 0.627 0.502
Se7 Se 0.754 0.123 0.500
Se8 Se 0.754 0.877 0.000
```

Record 11
PmPrSnSe: calculated powder X-ray diffraction pattern (a wavelength of 1.5418 Å), based on a crystal structure in Alexandria, relaxed with GGA-PBE.
Neutral-atom scattering factors, no anomalous dispersion.

Principal peaks in the range 2θ from 10° to 90°, sorted by position:
2θ/deg	I (rel.)
24.8	8
28.6	44
28.8	87
41.1	100
50.9	36
59.6	11
67.2	16
67.4	31
74.7	12
74.9	23

Structure:
```
data_PmPrSnSe
_cell_length_a 4.390
_cell_length_b 4.390
_cell_length_c 6.232
_cell_angle_alpha 90.00
_cell_angle_beta 90.00
_cell_angle_gamma 90.00
_space_group_name_H-M_alt 'P 1'
_space_group_IT_number 1
_space_group_name_Hall 'P 1'
loop_
_atom_site_label
_atom_site_type_symbol
_atom_site_fract_x
_atom_site_fract_y
_atom_site_fract_z
Pm1 Pm 0.000 0.000 0.000
Pr1 Pr 0.500 0.500 0.500
Sn1 Sn 0.500 0.500 0.000
Se1 Se 0.000 0.000 0.500
```

Record 12
SrPm2PrSe4: calculated powder X-ray diffraction pattern (a wavelength of 1.5418 Å), based on a crystal structure in Alexandria, relaxed with GGA-PBE.
Neutral-atom scattering factors, no anomalous dispersion.

Principal peaks in the range 2θ from 10° to 90°, sorted by position:
2θ/deg	I (rel.)
29.6	100
42.1	13
42.4	50
42.7	12
52.3	13
52.8	13
61.5	12
69.8	22
77.1	8
77.9	8

Structure:
```
data_SrPm2PrSe4
_cell_length_a 7.396
_cell_length_b 4.237
_cell_length_c 7.403
_cell_angle_alpha 90.00
_cell_angle_beta 109.05
_cell_angle_gamma 90.00
_space_group_name_H-M_alt 'P 1'
_space_group_IT_number 1
_space_group_name_Hall 'P 1'
loop_
_atom_site_label
_atom_site_type_symbol
_atom_site_fract_x
_atom_site_fract_y
_atom_site_fract_z
Sr1 Sr 0.000 0.000 0.000
Pm1 Pm 0.500 0.000 0.500
Pm2 Pm 0.500 0.500 0.000
Pr1 Pr 0.000 0.500 0.500
Se1 Se 0.256 0.000 0.752
Se2 Se 0.258 0.500 0.254
Se3 Se 0.742 0.500 0.746
Se4 Se 0.744 0.000 0.248
```